Simulated X-ray diffraction stick pattern
Compound: Zr15N16
Radiation: CuKα
Structure: the GGA-PBE geometry in OQMD

The 10 most intense peaks (2θ = 10–90°), in order of falling intensity:
d [Å]  I_rel
2.648  100
2.293  92
1.621  48
1.382  24
1.384  17
1.624  10
1.323  9
1.325  9
1.146  6
1.147  3

a = 5.6218 Å, b = 8.5750 Å, c = 8.5752 Å
α = 106.51°, β = 102.68°, γ = 90.07°
Space group P-1 (No. 2)
One atom of each set of equivalent atoms:
Zr 0.0000 0.0000 0.0000 (multiplicity 1)
Zr 0.0596 0.1220 0.6797 (multiplicity 2)
Zr 0.1434 0.2451 0.3763 (multiplicity 2)
Zr 0.1896 0.3736 0.0610 (multiplicity 2)
Zr 0.2454 0.5061 0.7510 (multiplicity 2)
Zr 0.3138 0.6325 0.4387 (multiplicity 2)
Zr 0.3785 0.7565 0.1351 (multiplicity 2)
Zr 0.4306 0.8782 0.8055 (multiplicity 2)
N 0.0000 0.5000 0.5000 (multiplicity 1)
N 0.0619 0.6255 0.1882 (multiplicity 2)
N 0.1222 0.7536 0.8763 (multiplicity 2)
N 0.1750 0.8710 0.5644 (multiplicity 2)
N 0.2460 0.0001 0.2459 (multiplicity 2)
N 0.3111 0.1247 0.9373 (multiplicity 2)
N 0.3698 0.2578 0.6288 (multiplicity 2)
N 0.4421 0.3766 0.3123 (multiplicity 2)
N 0.5000 0.5000 0.0000 (multiplicity 1)